Starting from a cell relaxed with GGA+U, the XRD peak list of KVH2SeO7 was calculated for copper Kα.

Peak list (8 most intense, 10° ≤ 2θ ≤ 80°, by intensity)
15.74 deg, I = 100.0, hkl 1 0 0
24.08 deg, I = 48.9, hkl 0 1 2
22.58 deg, I = 44.8, hkl 0 0 2
27.65 deg, I = 40.8, hkl 1 3 -1
35.56 deg, I = 32.8, hkl 1 4 -1
26.93 deg, I = 30.3, hkl 2 1 -1
23.73 deg, I = 29.1, hkl 2 0 -2
30.25 deg, I = 27.1, hkl 1 3 -2

```
data_KVH2SeO7
_symmetry_space_group_name_H-M 'P 1 21/c 1'
_symmetry_Int_Tables_number 14
_cell_length_a 7.5140
_cell_length_b 10.7235
_cell_length_c 10.5089
_cell_angle_alpha 90.00
_cell_angle_beta 131.47
_cell_angle_gamma 90.00
loop_
_symmetry_equiv_pos_as_xyz
'x,y,z'
'-x,-y,-z'
'-x,y+1/2,-z+1/2'
'x,-y+1/2,z+1/2'
loop_
_atom_site_label
_atom_site_type_symbol
_atom_site_fract_x
_atom_site_fract_y
_atom_site_fract_z
K1 K 0.1651 0.0692 0.2450
V1 V 0.4229 0.0906 0.7534
H1 H 0.0468 0.6376 0.0241
H2 H 0.0502 0.6658 0.8772
Se1 Se 0.4023 0.6963 0.3648
O1 O 0.0527 0.1619 0.5948
O2 O 0.1831 0.7078 0.7962
O3 O 0.2686 0.5552 0.2756
O4 O 0.2966 0.5535 0.5845
O5 O 0.3700 0.0377 0.5827
O6 O 0.3840 0.1905 0.9243
O7 O 0.4752 0.2300 0.2211
```